Record 1
For CaMnAs2, a PBE-relaxed structure gives the calculated X-ray diffraction stick pattern in this record (a wavelength of 1.5418 Å).
Lines closer than 0.1° are merged.

Main lines, by angle (10 to 90 degrees two-theta):
| h k l | 2theta | d_spacing | I_rel |
| --- | --- | --- | --- |
| 0 4 0 | 16.97 | 5.226 | 32 |
| 1 3 1 | 26.31 | 3.388 | 19 |
| 1 5 1 | 31.47 | 2.843 | 48 |
| 0 4 2 | 37.03 | 2.428 | 100 |
| 2 0 2 | 46.87 | 1.938 | 44 |
| 0 8 2 | 48.11 | 1.891 | 38 |
| 3 5 1 | 57.55 | 1.602 | 15 |
| 2 4 4 | 80.47 | 1.194 | 17 |

Crystal structure
a = 5.4872 Å, b = 20.9022 Å, c = 5.4782 Å
α = 90.00°, β = 90.00°, γ = 90.00°
Space group Fmm2 (No. 42)
Asymmetric unit:
Ca 0.0000 0.1142 0.0000 (multiplicity 8)
Mn 0.2500 0.2500 0.2501 (multiplicity 8)
As 0.0000 0.1801 0.5002 (multiplicity 8)
As 0.2260 0.0000 0.2679 (multiplicity 8)

Record 2
For CaMn5As4, a PBE-relaxed structure gives the calculated X-ray diffraction stick pattern in this record (a wavelength of 1.5418 Å).
Lines closer than 0.1° are merged.

Main lines, by angle (10 to 90 degrees two-theta):
| h k l | 2theta | d_spacing | I_rel |
| --- | --- | --- | --- |
| 1 1 0 | 12.62 | 7.012 | 64 |
| 2 2 0 | 25.40 | 3.506 | 48 |
| 2 2 1 | 35.49 | 2.530 | 57 |
| 3 0 1 | 36.66 | 2.451 | 100 |
| 3 1 1 | 37.81 | 2.380 | 57 |
| 4 0 1 | 44.15 | 2.051 | 67 |
| 4 1 1 | 45.13 | 2.009 | 57 |
| 4 4 0 | 52.17 | 1.753 | 54 |

Crystal structure
a = 9.9171 Å, b = 9.9171 Å, c = 3.6531 Å
α = 90.00°, β = 90.00°, γ = 90.00°
Space group P4/nmm (No. 129, origin choice 2)
Asymmetric unit:
Ca 0.2500 0.7500 0.0000 (multiplicity 2)
Mn 0.0965 0.0965 0.1342 (multiplicity 8)
Mn 0.2500 0.2500 0.5862 (multiplicity 2)
As 0.0023 0.2500 0.6347 (multiplicity 8)